Diffraction record for Mg14TiVO16. The X-ray powder pattern is theoretical, not measured: it uses a cell relaxed with GGA+U and λ = 1.5418 Å (Cu Kα).
Kinematic intensities with the Lorentz-polarization factor, no thermal factor.

Structural model:
a b c (Å): 4.274 8.571 8.591
angles (deg): 90.00 90.00 90.00
Space group Pmmm (No. 47)
Symmetry-distinct sites (fractional):
1 Mg 0.000 0.000 0.000
2 Mg 0.000 0.000 0.500
3 Mg 0.000 0.248 0.250
4 Mg 0.500 0.000 0.250
5 Mg 0.500 0.248 0.000
6 Mg 0.500 0.249 0.500
7 Mg 0.500 0.500 0.251
8 Ti 0.000 0.500 0.000
9 V 0.000 0.500 0.500
10 O 0.000 0.000 0.250
11 O 0.000 0.244 0.000
12 O 0.000 0.245 0.500
13 O 0.000 0.500 0.250
14 O 0.500 0.000 0.000
15 O 0.500 0.000 0.500
16 O 0.500 0.251 0.250
17 O 0.500 0.500 0.000
18 O 0.500 0.500 0.500

Top 12 peaks for 2θ from 5° to 70°, in order of rising 2θ:
10.3 deg, d = 8.571 Å, I = 11
20.7 deg, d = 4.291 Å, I = 5
23.2 deg, d = 3.833 Å, I = 7
29.5 deg, d = 3.030 Å, I = 6
31.3 deg, d = 2.857 Å, I = 5
36.3 deg, d = 2.474 Å, I = 41
37.8 deg, d = 2.377 Å, I = 3
42.1 deg, d = 2.148 Å, I = 89
42.2 deg, d = 2.143 Å, I = 89
42.3 deg, d = 2.137 Å, I = 88
61.1 deg, d = 1.516 Å, I = 100
61.3 deg, d = 1.513 Å, I = 50